Starting from a structure optimized by DFT (PBE+U), the PXRD pattern of Li6MnCrP2C2O14 was simulated for Cu Ka.
Peak positions follow from Bragg's law for the DFT cell and can differ from measured ones.

Structural model:
```
Li6MnCrP2C2O14
1.0
5.0230 0.0000 0.0000
0.0000 6.4954 0.0000
-0.9597 0.0000 8.6501
Li Mn Cr P C O
6 1 1 2 2 14
direct
0.0000 0.0000 0.0000 Li
0.0900 0.2703 0.6206 Li
0.0900 0.7297 0.6206 Li
0.5263 0.2276 0.1561 Li
0.5263 0.7724 0.1561 Li
0.6150 0.5000 0.7842 Li
0.0231 0.5000 0.2293 Mn
0.6089 0.0000 0.5548 Cr
0.0604 0.0000 0.2940 P
0.5426 0.5000 0.4809 P
0.1435 0.5000 0.9284 C
0.4773 0.0000 0.8482 C
0.2200 0.5000 0.7901 O
0.2293 0.5000 0.4681 O
0.3131 0.0000 0.7183 O
0.3222 0.5000 0.0506 O
0.3706 0.0000 0.3029 O
0.3830 0.0000 0.9810 O
0.6276 0.5000 0.3169 O
0.6558 0.3139 0.5816 O
0.6558 0.6861 0.5816 O
0.7295 0.0000 0.8368 O
0.8943 0.5000 0.9500 O
0.9431 0.1859 0.1949 O
0.9431 0.8141 0.1949 O
0.9753 0.0000 0.4593 O
```

Largest 12 diffraction maxima, by angle, 2θ = 10–80°:
hkl 0 0 1, 10.23°, I = 82; hkl 0 1 1, 17.07°, I = 16; hkl 1 0 -1, 19.53°, I = 27; hkl 1 0 1, 21.51°, I = 63; hkl 1 1 1, 25.55°, I = 19; hkl 1 0 -2, 25.72°, I = 32; hkl 0 2 0, 27.46°, I = 100; hkl 0 0 3, 31.02°, I = 20; hkl 2 0 -1, 36.34°, I = 36; hkl 1 1 3, 40.26°, I = 36; hkl 0 4 0, 56.69°, I = 15; hkl 2 3 -2, 58.88°, I = 14

---

Starting from a structure optimized by DFT (PBE+U), the PXRD pattern of LiCr2C4O12 was simulated for Cu Ka.
Peak positions follow from Bragg's law for the DFT cell and can differ from measured ones.

Structural model:
```
LiCr2C4O12
1.0
5.2559 0.0000 0.0000
2.4055 6.4971 0.0000
0.8396 0.0874 7.5805
Li Cr C O
1 2 4 12
direct
0.0000 0.0000 0.0000 Li
0.1222 0.2906 0.3898 Cr
0.6357 0.7862 0.8856 Cr
0.3935 0.9629 0.6408 C
0.4225 0.1415 0.1285 C
0.8402 0.4379 0.6457 C
0.8670 0.6273 0.1382 C
0.0899 0.4370 0.6128 O
0.1740 0.1364 0.1506 O
0.2621 0.9287 0.7873 O
0.2697 0.0316 0.5005 O
0.4841 0.2382 0.2487 O
0.5986 0.0559 0.9993 O
0.6135 0.6565 0.1293 O
0.6530 0.9106 0.6391 O
0.6764 0.5207 0.7777 O
0.7707 0.3396 0.5260 O
0.9910 0.5497 0.2761 O
0.9937 0.6910 0.0030 O
```

Largest 12 diffraction maxima, by angle, 2θ = 10–80°:
hkl 0 1 1, 17.88°, I = 56; hkl 0 1 -1, 18.09°, I = 53; hkl 1 1 0, 18.54°, I = 100; hkl 1 0 1, 20.57°, I = 27; hkl 1 1 1, 20.88°, I = 10; hkl 1 0 -1, 22.55°, I = 20; hkl 1 2 1, 28.82°, I = 11; hkl 0 2 1, 29.80°, I = 12; hkl 0 2 -1, 30.05°, I = 19; hkl 1 -1 2, 34.35°, I = 8; hkl 2 0 0, 36.64°, I = 14; hkl 2 1 -1, 37.66°, I = 9

---

Starting from a structure optimized by DFT (PBE+U), the PXRD pattern of Li3CrPCO7 was simulated for Cu Ka.
Peak positions follow from Bragg's law for the DFT cell and can differ from measured ones.

Structural model:
```
Li3CrPCO7
1.0
5.0635 0.0000 0.0000
0.0000 6.1799 0.0000
-1.9429 0.0000 9.1478
Li Cr P C O
6 2 2 2 14
direct
0.1060 0.0000 0.0782 Li
0.1638 0.6919 0.4064 Li
0.2670 0.9349 0.7058 Li
0.7330 0.4349 0.2942 Li
0.8362 0.1919 0.5936 Li
0.8940 0.5000 0.9218 Li
0.3526 0.4209 0.7224 Cr
0.6474 0.9209 0.2776 Cr
0.2633 0.1977 0.3967 P
0.7367 0.6977 0.6033 P
0.4313 0.6510 0.0208 C
0.5687 0.1510 0.9792 C
0.1328 0.4023 0.3225 O
0.1416 0.9887 0.3145 O
0.1839 0.6930 0.0182 O
0.2270 0.1896 0.5595 O
0.3821 0.1586 0.8586 O
0.4219 0.6931 0.5985 O
0.4838 0.1007 0.0975 O
0.5162 0.6007 0.9025 O
0.5781 0.1931 0.4015 O
0.6179 0.6586 0.1414 O
0.7730 0.6896 0.4405 O
0.8161 0.1930 0.9818 O
0.8584 0.4887 0.6855 O
0.8672 0.9023 0.6775 O
```

Largest 12 diffraction maxima, by angle, 2θ = 10–80°:
hkl 0 1 1, 17.32°, I = 100; hkl 1 0 0, 17.91°, I = 47; hkl 1 1 0, 23.01°, I = 50; hkl 1 1 -1, 23.49°, I = 67; hkl 0 1 2, 24.21°, I = 29; hkl 1 1 1, 26.45°, I = 32; hkl 0 0 3, 29.28°, I = 34; hkl 1 1 2, 32.71°, I = 27; hkl 0 2 2, 35.05°, I = 87; hkl 2 0 -1, 35.53°, I = 62; hkl 2 2 1, 49.76°, I = 24; hkl 0 2 5, 58.64°, I = 19

---

Question: Number 3 is which compound?
Answer: Li3CrPCO7